1.
# Pr8AlHg2
Simulated X-ray powder pattern, Cu Kα. Input: a crystal structure in Alexandria, relaxed with PBE.
Peak positions follow from Bragg's law for the DFT cell and can differ from measured ones.

The 10 most intense peaks (2θ = 15–90°), in order of rising 2θ:
- 2θ 27.24, d 3.274, I = 13.3, hkl 1 2 1
- 2θ 30.86, d 2.898, I = 17.8, hkl 1 1 4
- 2θ 31.13, d 2.873, I = 18.7, hkl 0 1 5
- 2θ 32.00, d 2.797, I = 100.0, hkl 1 2 3
- 2θ 34.48, d 2.601, I = 27.8, hkl 2 0 0
- 2θ 35.41, d 2.535, I = 14.7, hkl 0 0 6
- 2θ 37.21, d 2.417, I = 13.8, hkl 1 3 2
- 2θ 47.13, d 1.928, I = 11.9, hkl 2 1 5
- 2θ 60.22, d 1.537, I = 16.5, hkl 3 2 3
- 2θ 60.80, d 1.524, I = 13.9, hkl 1 3 8

Structural model:
a b c (Å): 5.2019 8.7705 15.2112
angles (deg): 90.00 90.00 90.00
Space group Immm (No. 71)
Unique sites:
Pr 0.0000 0.0000 0.1344 (multiplicity 4)
Pr 0.0000 0.2277 0.3412 (multiplicity 8)
Pr 0.0000 0.3147 0.0000 (multiplicity 4)
Al 0.0000 0.5000 0.5000 (multiplicity 2)
Hg 0.0000 0.5000 0.1946 (multiplicity 4)

---

2.
# LiZnSe
Simulated X-ray powder pattern, Cu Kα. Input: a crystal structure in Alexandria, relaxed with PBE.
Peak positions follow from Bragg's law for the DFT cell and can differ from measured ones.

The 10 most intense peaks (2θ = 15–90°), in order of rising 2θ:
- 2θ 16.30, d 5.439, I = 61.3, hkl 1 1 -1
- 2θ 19.86, d 4.470, I = 100.0, hkl 0 2 0
- 2θ 24.92, d 3.573, I = 93.4, hkl 1 1 1
- 2θ 26.00, d 3.427, I = 93.1, hkl 2 0 -2
- 2θ 32.51, d 2.754, I = 39.6, hkl 2 2 0
- 2θ 32.93, d 2.720, I = 44.8, hkl 2 2 -2
- 2θ 33.84, d 2.649, I = 38.7, hkl 0 2 2
- 2θ 38.01, d 2.367, I = 92.6, hkl 1 3 1
- 2θ 46.60, d 1.949, I = 44.2, hkl 2 0 2
- 2θ 47.58, d 1.911, I = 55.2, hkl 2 0 -4

Structural model:
a b c (Å): 8.1438 8.9396 7.6591
angles (deg): 90.00 120.81 90.00
Space group Cc (No. 9)
Unique sites:
Li 0.0000 0.2009 0.0000 (multiplicity 4)
Li 0.3782 0.2566 0.0062 (multiplicity 4)
Zn 0.2441 0.3893 0.6163 (multiplicity 4)
Zn 0.2678 0.1149 0.6090 (multiplicity 4)
Se 0.0615 0.4401 0.8131 (multiplicity 4)
Se 0.0712 0.0239 0.7773 (multiplicity 4)

---

3.
# RbGaCu2F8
Simulated X-ray powder pattern, Cu Kα. Input: a crystal structure in Alexandria, relaxed with PBE.
Peak positions follow from Bragg's law for the DFT cell and can differ from measured ones.

The 10 most intense peaks (2θ = 15–90°), in order of rising 2θ:
- 2θ 24.77, d 3.594, I = 100.0, hkl 1 0 4
- 2θ 33.51, d 2.674, I = 10.4, hkl 0 0 9
- 2θ 34.67, d 2.588, I = 44.5, hkl 1 1 0
- 2θ 35.96, d 2.498, I = 21.0, hkl 0 1 8
- 2θ 43.08, d 2.100, I = 24.6, hkl 0 2 4
- 2θ 50.81, d 1.797, I = 9.6, hkl 2 0 8
- 2θ 56.43, d 1.631, I = 18.6, hkl 2 1 4
- 2θ 58.20, d 1.585, I = 15.7, hkl 1 1 12
- 2θ 62.13, d 1.494, I = 14.1, hkl 3 0 0
- 2θ 62.97, d 1.476, I = 10.1, hkl 1 2 8

Structural model:
a b c (Å): 5.1750 5.1750 24.0662
angles (deg): 90.00 90.00 120.00
Space group R32 (No. 155, hexagonal axes)
Unique sites:
Rb 0.0000 0.0000 0.0000 (multiplicity 3)
Ga 0.0000 0.0000 0.5000 (multiplicity 3)
Cu 0.0000 0.0000 0.2365 (multiplicity 6)
F 0.0000 0.0000 0.3119 (multiplicity 6)
F 0.0247 0.3029 0.5513 (multiplicity 18)